(1)
# LaAl2Se4
Theoretical XRD peak list, CuKα. Input: DFT lattice parameters and positions (GGA-PBE).
No peak broadening, texture or thermal motion is included.

Peak list (10 most intense, 2θ = 5–70°, most intense first)
29.6°, d 3.016, intensity 100.0
47.6°, d 1.910, intensity 35.4
29.4°, d 3.038, intensity 22.8
52.3°, d 1.750, intensity 19.9
36.6°, d 2.456, intensity 19.4
61.6°, d 1.505, intensity 17.5
18.5°, d 4.786, intensity 15.3
32.6°, d 2.746, intensity 13.8
50.7°, d 1.799, intensity 10.8
52.7°, d 1.737, intensity 10.2

Lattice parameters (Å, degrees): 6.277 6.277 6.277 103.55 103.55 122.11
Atoms (fractional coordinates):
La 0.000 0.000 0.000
Al 0.250 0.750 0.500
Al 0.750 0.250 0.500
Se 0.194 0.354 0.549
Se 0.354 0.806 0.160
Se 0.646 0.194 0.840
Se 0.806 0.646 0.451

=====

(2)
# KDyTe4
Theoretical XRD peak list, CuKα. Input: DFT lattice parameters and positions (GGA-PBE).
No peak broadening, texture or thermal motion is included.

Peak list (10 most intense, 2θ = 5–70°, most intense first)
30.9°, d 2.896, intensity 100.0
9.9°, d 8.910, intensity 78.7
27.2°, d 3.278, intensity 66.0
41.7°, d 2.165, intensity 37.3
33.0°, d 2.715, intensity 30.9
57.7°, d 1.598, intensity 21.6
42.4°, d 2.132, intensity 21.5
50.7°, d 1.801, intensity 20.6
35.6°, d 2.523, intensity 19.3
61.1°, d 1.517, intensity 16.7

Lattice parameters (Å, degrees): 6.847 6.847 8.910 90.00 90.00 90.00
Atoms (fractional coordinates):
K 0.250 0.250 0.000
K 0.750 0.750 0.000
Dy 0.250 0.250 0.500
Dy 0.750 0.750 0.500
Te 0.103 0.603 0.293
Te 0.103 0.897 0.707
Te 0.397 0.603 0.707
Te 0.397 0.897 0.293
Te 0.603 0.103 0.707
Te 0.603 0.397 0.293
Te 0.897 0.103 0.293
Te 0.897 0.397 0.707

=====

(3)
# Nb2VSe5
Theoretical XRD peak list, CuKα. Input: DFT lattice parameters and positions (GGA-PBE).
No peak broadening, texture or thermal motion is included.

Peak list (10 most intense, 2θ = 5–70°, most intense first)
13.2°, d 6.720, intensity 100.0
34.2°, d 2.625, intensity 40.3
43.8°, d 2.069, intensity 25.9
28.5°, d 3.127, intensity 24.0
39.1°, d 2.303, intensity 23.2
39.6°, d 2.277, intensity 17.5
13.0°, d 6.832, intensity 17.0
37.5°, d 2.395, intensity 14.8
41.4°, d 2.180, intensity 12.9
39.4°, d 2.289, intensity 12.8

Lattice parameters (Å, degrees): 9.583 7.209 7.104 84.05 48.44 47.51
Atoms (fractional coordinates):
Nb 0.189 0.189 0.811
Nb 0.811 0.811 0.189
V 0.500 0.500 0.500
Se 0.000 0.000 0.000
Se 0.220 0.461 0.539
Se 0.461 0.220 0.780
Se 0.539 0.780 0.220
Se 0.780 0.539 0.461

=====

(4)
# Y3Al
Theoretical XRD peak list, CuKα. Input: DFT lattice parameters and positions (GGA-PBE).
No peak broadening, texture or thermal motion is included.

Peak list (10 most intense, 2θ = 5–70°, most intense first)
34.5°, d 2.596, intensity 100.0
30.1°, d 2.973, intensity 24.5
33.6°, d 2.664, intensity 24.4
53.4°, d 1.717, intensity 21.3
64.6°, d 1.443, intensity 19.7
22.4°, d 3.968, intensity 19.5
60.7°, d 1.525, intensity 18.6
45.7°, d 1.984, intensity 16.3
65.2°, d 1.432, intensity 14.2
26.0°, d 3.433, intensity 6.1

Lattice parameters (Å, degrees): 6.866 6.866 5.328 90.00 90.00 120.00
Atoms (fractional coordinates):
Y 0.175 0.350 0.250
Y 0.175 0.825 0.250
Y 0.350 0.175 0.750
Y 0.650 0.825 0.250
Y 0.825 0.175 0.750
Y 0.825 0.650 0.750
Al 0.333 0.667 0.750
Al 0.667 0.333 0.250

=====

(5)
# La6RhAu3
Theoretical XRD peak list, CuKα. Input: DFT lattice parameters and positions (GGA-PBE).
No peak broadening, texture or thermal motion is included.

Peak list (10 most intense, 2θ = 5–70°, most intense first)
28.5°, d 3.128, intensity 100.0
40.4°, d 2.231, intensity 82.7
27.2°, d 3.274, intensity 74.2
43.2°, d 2.093, intensity 69.1
36.3°, d 2.476, intensity 66.4
29.9°, d 2.985, intensity 65.1
33.7°, d 2.660, intensity 62.2
30.8°, d 2.907, intensity 52.5
33.2°, d 2.701, intensity 52.2
24.1°, d 3.697, intensity 50.2

Lattice parameters (Å, degrees): 7.437 7.883 12.577 90.00 120.77 90.00
Atoms (fractional coordinates):
La 0.083 0.052 0.248
La 0.083 0.448 0.748
La 0.230 0.683 0.083
La 0.230 0.817 0.583
La 0.373 0.173 0.068
La 0.373 0.327 0.568
La 0.627 0.673 0.432
La 0.627 0.827 0.932
La 0.770 0.183 0.417
La 0.770 0.317 0.917
La 0.917 0.552 0.252
La 0.917 0.948 0.752
Rh 0.000 0.000 0.000
Rh 0.000 0.500 0.500
Au 0.325 0.115 0.774
Au 0.325 0.385 0.274
Au 0.500 0.000 0.500
Au 0.500 0.500 0.000
Au 0.675 0.615 0.726
Au 0.675 0.885 0.226

=====

(6)
# La3Pm4Sm4
Theoretical XRD peak list, CuKα. Input: DFT lattice parameters and positions (GGA-PBE).
No peak broadening, texture or thermal motion is included.

Peak list (10 most intense, 2θ = 5–70°, most intense first)
31.3°, d 2.857, intensity 100.0
30.5°, d 2.932, intensity 38.3
29.8°, d 2.998, intensity 30.3
54.7°, d 1.678, intensity 28.5
30.3°, d 2.951, intensity 15.8
32.8°, d 2.729, intensity 15.5
60.8°, d 1.524, intensity 14.2
60.9°, d 1.520, intensity 12.7
45.4°, d 1.998, intensity 12.6
43.5°, d 2.080, intensity 11.8

Lattice parameters (Å, degrees): 10.916 6.795 6.795 51.13 90.00 90.00
Atoms (fractional coordinates):
La 0.000 0.000 0.000
La 0.293 0.155 0.155
La 0.707 0.155 0.155
Pm 0.000 0.702 0.702
Pm 0.214 0.495 0.495
Pm 0.500 0.634 0.634
Pm 0.786 0.495 0.495
Sm 0.000 0.301 0.301
Sm 0.302 0.853 0.853
Sm 0.500 0.362 0.362
Sm 0.698 0.853 0.853

=====

(7)
# Co4Ni15W
Theoretical XRD peak list, CuKα. Input: DFT lattice parameters and positions (GGA-PBE).
No peak broadening, texture or thermal motion is included.

Peak list (10 most intense, 2θ = 5–70°, most intense first)
44.3°, d 2.047, intensity 100.0
51.3°, d 1.779, intensity 32.1
5.0°, d 17.588, intensity 17.8
52.0°, d 1.759, intensity 14.7
10.1°, d 8.794, intensity 5.2
25.5°, d 3.488, intensity 3.0
15.1°, d 5.863, intensity 2.7
27.0°, d 3.299, intensity 2.6
29.4°, d 3.042, intensity 2.4
41.3°, d 2.184, intensity 2.2

Lattice parameters (Å, degrees): 3.559 3.559 17.588 90.00 90.00 90.00
Atoms (fractional coordinates):
Co 0.000 0.000 0.098
Co 0.000 0.000 0.293
Co 0.000 0.000 0.707
Co 0.000 0.000 0.902
Ni 0.000 0.500 0.000
Ni 0.000 0.500 0.197
Ni 0.000 0.500 0.397
Ni 0.000 0.500 0.603
Ni 0.000 0.500 0.803
Ni 0.500 0.000 0.000
Ni 0.500 0.000 0.197
Ni 0.500 0.000 0.397
Ni 0.500 0.000 0.603
Ni 0.500 0.000 0.803
Ni 0.500 0.500 0.098
Ni 0.500 0.500 0.296
Ni 0.500 0.500 0.500
Ni 0.500 0.500 0.704
Ni 0.500 0.500 0.902
W 0.000 0.000 0.500

=====

(8)
# Er3AgAu
Theoretical XRD peak list, CuKα. Input: DFT lattice parameters and positions (GGA-PBE).
No peak broadening, texture or thermal motion is included.

Peak list (10 most intense, 2θ = 5–70°, most intense first)
34.1°, d 2.629, intensity 100.0
35.7°, d 2.515, intensity 49.9
63.1°, d 1.473, intensity 33.9
51.4°, d 1.779, intensity 17.7
60.0°, d 1.542, intensity 13.4
41.1°, d 2.194, intensity 8.6
46.5°, d 1.952, intensity 7.2
68.7°, d 1.366, intensity 5.4
67.8°, d 1.382, intensity 4.9
9.1°, d 9.759, intensity 3.9

Lattice parameters (Å, degrees): 10.078 10.078 5.031 90.00 90.00 151.10
Atoms (fractional coordinates):
Er 0.064 0.936 0.750
Er 0.250 0.750 0.750
Er 0.435 0.565 0.750
Er 0.565 0.435 0.250
Er 0.750 0.250 0.250
Er 0.936 0.064 0.250
Ag 0.157 0.843 0.250
Ag 0.843 0.157 0.750
Au 0.340 0.660 0.250
Au 0.660 0.340 0.750

=====

(9)
# PuInGaBi
Theoretical XRD peak list, CuKα. Input: DFT lattice parameters and positions (GGA-PBE).
No peak broadening, texture or thermal motion is included.

Peak list (10 most intense, 2θ = 5–70°, most intense first)
33.4°, d 2.682, intensity 100.0
37.7°, d 2.387, intensity 18.1
38.5°, d 2.337, intensity 17.1
65.3°, d 1.428, intensity 16.0
18.6°, d 4.774, intensity 15.6
40.1°, d 2.250, intensity 15.3
66.5°, d 1.407, intensity 14.0
68.6°, d 1.368, intensity 12.7
27.5°, d 3.242, intensity 12.6
55.0°, d 1.670, intensity 12.3

Lattice parameters (Å, degrees): 4.501 4.674 4.774 90.00 90.00 90.00
Atoms (fractional coordinates):
Pu 0.000 0.000 0.000
In 0.000 0.500 0.500
Ga 0.500 0.000 0.500
Bi 0.500 0.500 0.000

=====

(10)
# TmFeTc
Theoretical XRD peak list, CuKα. Input: DFT lattice parameters and positions (GGA-PBE).
No peak broadening, texture or thermal motion is included.

Peak list (10 most intense, 2θ = 5–70°, most intense first)
41.1°, d 2.195, intensity 100.0
34.0°, d 2.637, intensity 99.9
40.4°, d 2.230, intensity 70.3
39.4°, d 2.285, intensity 58.6
34.2°, d 2.623, intensity 38.3
39.7°, d 2.272, intensity 35.3
42.7°, d 2.118, intensity 24.7
65.9°, d 1.417, intensity 24.5
41.8°, d 2.160, intensity 24.3
21.0°, d 4.235, intensity 20.6

Lattice parameters (Å, degrees): 5.279 5.279 5.279 122.28 120.41 87.70
Atoms (fractional coordinates):
Tm 0.374 0.124 0.250
Tm 0.626 0.876 0.750
Fe 0.000 0.500 0.500
Fe 0.500 0.500 0.000
Tc 0.000 0.000 0.500
Tc 0.000 0.500 0.000

=====

(11)
# Tb3URu4
Theoretical XRD peak list, CuKα. Input: DFT lattice parameters and positions (GGA-PBE).
No peak broadening, texture or thermal motion is included.

Peak list (10 most intense, 2θ = 5–70°, most intense first)
37.4°, d 2.404, intensity 100.0
67.5°, d 1.388, intensity 35.5
53.9°, d 1.700, intensity 17.4
26.2°, d 3.400, intensity 8.0
60.9°, d 1.521, intensity 3.5
46.2°, d 1.963, intensity 2.5
18.4°, d 4.809, intensity 2.0
32.2°, d 2.776, intensity 1.2
50.2°, d 1.818, intensity 0.7
42.0°, d 2.151, intensity 0.6

Lattice parameters (Å, degrees): 5.890 5.890 5.890 109.47 109.47 109.47
Atoms (fractional coordinates):
Tb 0.000 0.500 0.500
Tb 0.500 0.000 0.500
Tb 0.500 0.500 0.000
U 0.000 0.000 0.000
Ru 0.000 0.000 0.500
Ru 0.000 0.500 0.000
Ru 0.500 0.000 0.000
Ru 0.500 0.500 0.500

=====

(12)
# Cu3Si2Au2
Theoretical XRD peak list, CuKα. Input: DFT lattice parameters and positions (GGA-PBE).
No peak broadening, texture or thermal motion is included.

Peak list (10 most intense, 2θ = 5–70°, most intense first)
15.6°, d 5.680, intensity 100.0
40.2°, d 2.243, intensity 93.3
27.8°, d 3.209, intensity 87.2
32.5°, d 2.752, intensity 85.0
37.7°, d 2.385, intensity 79.0
33.4°, d 2.680, intensity 66.9
43.5°, d 2.082, intensity 66.1
31.5°, d 2.840, intensity 61.4
38.6°, d 2.335, intensity 53.4
47.7°, d 1.907, intensity 53.2

Lattice parameters (Å, degrees): 6.606 6.606 6.266 114.36 114.36 24.75
Atoms (fractional coordinates):
Cu 0.000 0.000 0.000
Cu 0.218 0.218 0.142
Cu 0.782 0.782 0.858
Si 0.414 0.414 0.196
Si 0.586 0.586 0.804
Au 0.128 0.128 0.475
Au 0.872 0.872 0.525

=====

(13)
# SrAcCdN
Theoretical XRD peak list, CuKα. Input: DFT lattice parameters and positions (GGA-PBE).
No peak broadening, texture or thermal motion is included.

Peak list (10 most intense, 2θ = 5–70°, most intense first)
29.1°, d 3.068, intensity 100.0
29.4°, d 3.041, intensity 99.1
31.5°, d 2.840, intensity 46.7
35.8°, d 2.510, intensity 34.4
11.3°, d 7.852, intensity 34.0
34.3°, d 2.617, intensity 31.1
60.3°, d 1.535, intensity 28.6
48.4°, d 1.881, intensity 28.1
46.9°, d 1.937, intensity 21.9
50.4°, d 1.811, intensity 20.9

Lattice parameters (Å, degrees): 3.790 3.790 8.314 104.25 104.25 82.92
Atoms (fractional coordinates):
Sr 0.000 0.000 0.000
Ac 0.322 0.322 0.611
Cd 0.637 0.637 0.279
N 0.780 0.780 0.687

=====

(14)
# LiRe2Br
Theoretical XRD peak list, CuKα. Input: DFT lattice parameters and positions (GGA-PBE).
No peak broadening, texture or thermal motion is included.

Peak list (10 most intense, 2θ = 5–70°, most intense first)
13.0°, d 6.799, intensity 100.0
41.4°, d 2.179, intensity 64.7
39.2°, d 2.301, intensity 46.0
44.2°, d 2.050, intensity 41.9
45.7°, d 1.985, intensity 26.3
29.4°, d 3.041, intensity 22.7
31.5°, d 2.839, intensity 22.0
34.9°, d 2.570, intensity 19.0
26.2°, d 3.400, intensity 18.3
49.7°, d 1.835, intensity 15.0

Lattice parameters (Å, degrees): 3.125 6.976 6.976 25.84 90.00 90.00
Atoms (fractional coordinates):
Li 0.000 0.000 0.000
Re 0.000 0.228 0.228
Re 0.500 0.632 0.632
Br 0.500 0.412 0.412